Record 1
For Sr2TiO4, DFT lattice parameters and positions (PBE) gives the computed powder X-ray diffraction pattern in this record (Cu Kα, 1.54184 Å).

Structural model:
```
Sr2TiO4
1.0
-1.9639 1.9639 6.3414
1.9639 -1.9639 6.3414
1.9639 1.9639 -6.3414
Sr Ti O
2 1 4
direct
0.1453 0.1453 0.0000
0.8547 0.8547 0.0000
0.5000 0.5000 0.0000
0.0000 0.5000 0.5000
0.3418 0.3418 0.0000
0.5000 0.0000 0.5000
0.6582 0.6582 0.0000
```

Main lines, by angle (10 to 90 degrees two-theta):
d_spacing	2theta	intensity
2.878	31.08	100
2.777	32.23	73
2.114	42.78	17
2.089	43.31	33
1.964	46.23	42
1.682	54.56	18
1.622	56.75	37
1.439	64.80	18
1.389	67.44	12
1.242	76.73	11

Record 2
For CoCSN6Cl2, DFT lattice parameters and positions (PBE) gives the computed powder X-ray diffraction pattern in this record (Cu Kα, 1.54184 Å).

Structural model:
```
CoCSN6Cl2
1.0
-2.4957 2.4957 5.6651
2.4957 -2.4957 5.6651
2.4957 2.4957 -5.6651
Co C S N Cl
1 1 1 6 2
direct
0.0000 0.0000 0.0000
0.2863 0.2863 0.0000
0.4543 0.4543 0.0000
0.1824 0.1824 0.0000
0.3025 0.3025 0.5760
0.3025 0.7265 0.0000
0.7265 0.3025 0.0000
0.7265 0.7265 0.4240
0.8554 0.8554 0.0000
0.3138 0.8138 0.5000
0.8138 0.3138 0.5000
```

Main lines, by angle (10 to 90 degrees two-theta):
d_spacing	2theta	intensity
5.665	15.64	86
4.568	19.43	24
3.529	25.23	23
2.996	29.83	100
2.833	31.59	25
2.496	35.99	47
2.284	39.46	22
2.209	40.85	39
1.765	51.81	34
1.521	60.92	22

Record 3
For Si6O13, DFT lattice parameters and positions (PBE) gives the computed powder X-ray diffraction pattern in this record (Cu Kα, 1.54184 Å).

Structural model:
```
Si6O13
1.0
12.6537 -3.7652 0.0000
12.6537 3.7652 0.0000
-2.5060 0.0000 9.9211
Si O
12 26
direct
0.0790 0.5037 0.6446
0.0827 0.4811 0.1522
0.1240 0.1240 0.3924
0.1328 0.1328 0.7173
0.4811 0.0827 0.1522
0.4963 0.9210 0.3554
0.5037 0.0790 0.6446
0.5189 0.9173 0.8478
0.8672 0.8672 0.2827
0.8760 0.8760 0.6076
0.9173 0.5189 0.8478
0.9210 0.4963 0.3554
0.0000 0.5000 0.0000
0.0000 0.5000 0.5000
0.0094 0.6586 0.2159
0.0257 0.4482 0.2407
0.0258 0.6687 0.6501
0.0585 0.0585 0.3146
0.0734 0.0734 0.7588
0.1264 0.1264 0.5540
0.3033 0.3033 0.6669
0.3064 0.3064 0.1537
0.3313 0.9742 0.3499
0.3414 0.9906 0.7841
0.4482 0.0257 0.2407
0.5000 0.0000 0.0000
0.5000 0.0000 0.5000
0.5518 0.9743 0.7593
0.6586 0.0094 0.2159
0.6687 0.0258 0.6501
0.6936 0.6936 0.8463
0.6967 0.6967 0.3331
0.8736 0.8736 0.4460
0.9266 0.9266 0.2412
0.9415 0.9415 0.6854
0.9742 0.3313 0.3499
0.9743 0.5518 0.7593
0.9906 0.3414 0.7841
```

Main lines, by angle (10 to 90 degrees two-theta):
d_spacing	2theta	intensity
7.199	12.29	100
5.049	17.57	23
4.961	17.88	49
4.423	20.08	48
4.251	20.90	60
4.111	21.62	64
3.620	24.59	30
3.599	24.73	70
3.209	27.80	52
3.177	28.08	22